CePm6Pr3: calculated X-ray diffraction stick pattern (copper Kα), based on a GGA-PBE-relaxed structure.

Atomic structure:
```
CePm6Pr3
1.0
5.039 2.909 3.937
-5.039 2.909 3.937
0.000 -5.819 3.937
Ce Pm Pr
1 6 3
direct
0.000 0.000 0.000 Ce
0.000 0.320 0.680 Pm
0.175 0.825 0.500 Pm
0.320 0.680 0.000 Pm
0.500 0.175 0.825 Pm
0.680 0.000 0.320 Pm
0.825 0.500 0.175 Pm
0.242 0.242 0.242 Pr
0.500 0.500 0.500 Pr
0.758 0.758 0.758 Pr
```

Largest 10 diffraction maxima, by angle, 10 to 90 degrees two-theta:
- d = 3.103 Å, intensity 669
- d = 2.909 Å, intensity 1000
- d = 2.797 Å, intensity 155
- d = 2.200 Å, intensity 128
- d = 2.122 Å, intensity 224
- d = 1.872 Å, intensity 113
- d = 1.715 Å, intensity 224
- d = 1.680 Å, intensity 190
- d = 1.630 Å, intensity 135
- d = 1.455 Å, intensity 135

***

Ce3CCl3: calculated X-ray diffraction stick pattern (copper Kα), based on a GGA-PBE-relaxed structure.

Atomic structure:
```
Ce3CCl3
1.0
8.102 0.000 0.000
0.000 3.800 0.000
-0.647 0.000 11.108
Ce C Cl
6 2 6
direct
0.093 0.250 0.389 Ce
0.129 0.250 0.845 Ce
0.334 0.750 0.620 Ce
0.666 0.250 0.380 Ce
0.871 0.750 0.155 Ce
0.907 0.750 0.611 Ce
0.128 0.250 0.622 C
0.872 0.750 0.378 C
0.131 0.250 0.121 Cl
0.375 0.750 0.363 Cl
0.387 0.750 0.874 Cl
0.613 0.250 0.126 Cl
0.625 0.250 0.637 Cl
0.869 0.750 0.879 Cl
```

Largest 10 diffraction maxima, by angle, 10 to 90 degrees two-theta:
- d = 8.089 Å, intensity 245
- d = 6.365 Å, intensity 161
- d = 3.364 Å, intensity 133
- d = 3.183 Å, intensity 132
- d = 3.136 Å, intensity 297
- d = 2.772 Å, intensity 1000
- d = 2.652 Å, intensity 119
- d = 2.001 Å, intensity 194
- d = 1.923 Å, intensity 197
- d = 1.900 Å, intensity 123

***

Ca5MgCl12: calculated X-ray diffraction stick pattern (copper Kα), based on a GGA-PBE-relaxed structure.

Atomic structure:
```
Ca5MgCl12
1.0
3.507 -6.086 0.000
3.507 6.086 0.000
-0.025 0.000 12.991
Ca Mg Cl
5 1 12
direct
0.000 0.000 0.000 Ca
0.167 0.833 0.500 Ca
0.333 0.667 0.000 Ca
0.667 0.333 0.000 Ca
0.833 0.167 0.500 Ca
0.500 0.500 0.500 Mg
0.001 0.667 0.111 Cl
0.189 0.500 0.395 Cl
0.190 0.190 0.605 Cl
0.333 0.999 0.889 Cl
0.334 0.334 0.111 Cl
0.500 0.189 0.395 Cl
0.500 0.811 0.605 Cl
0.666 0.666 0.889 Cl
0.667 0.001 0.111 Cl
0.810 0.810 0.395 Cl
0.811 0.500 0.605 Cl
0.999 0.333 0.889 Cl
```

Largest 10 diffraction maxima, by angle, 10 to 90 degrees two-theta:
- d = 6.495 Å, intensity 1000
- d = 3.386 Å, intensity 232
- d = 3.089 Å, intensity 834
- d = 2.727 Å, intensity 636
- d = 2.385 Å, intensity 175
- d = 2.089 Å, intensity 329
- d = 2.029 Å, intensity 163
- d = 2.002 Å, intensity 443
- d = 1.843 Å, intensity 158
- d = 1.545 Å, intensity 125

***

NaTl2SnCl5: calculated X-ray diffraction stick pattern (copper Kα), based on a GGA-PBE-relaxed structure.

Atomic structure:
```
NaTl2SnCl5
1.0
2.246 -9.097 0.000
2.246 9.097 0.000
0.000 0.000 13.878
Na Tl Sn Cl
2 4 2 10
direct
0.220 0.780 0.500 Na
0.780 0.220 0.000 Na
0.111 0.889 0.142 Tl
0.149 0.851 0.768 Tl
0.851 0.149 0.268 Tl
0.889 0.111 0.642 Tl
0.464 0.536 0.929 Sn
0.536 0.464 0.429 Sn
0.068 0.932 0.542 Cl
0.277 0.723 0.138 Cl
0.323 0.677 0.870 Cl
0.371 0.629 0.477 Cl
0.493 0.507 0.244 Cl
0.507 0.493 0.744 Cl
0.629 0.371 0.977 Cl
0.677 0.323 0.370 Cl
0.723 0.277 0.638 Cl
0.932 0.068 0.042 Cl
```

Largest 10 diffraction maxima, by angle, 10 to 90 degrees two-theta:
- d = 4.124 Å, intensity 960
- d = 3.804 Å, intensity 329
- d = 3.693 Å, intensity 1000
- d = 3.610 Å, intensity 589
- d = 3.174 Å, intensity 832
- d = 2.962 Å, intensity 358
- d = 2.776 Å, intensity 311
- d = 2.655 Å, intensity 360
- d = 2.413 Å, intensity 485
- d = 2.247 Å, intensity 408

***

Rb5HgBi2: calculated X-ray diffraction stick pattern (copper Kα), based on a GGA-PBE-relaxed structure.

Atomic structure:
```
Rb5HgBi2
1.0
6.453 0.000 0.000
-2.990 5.719 0.000
-0.263 -0.199 22.355
Rb Hg Bi
10 2 4
direct
0.001 0.007 0.140 Rb
0.011 0.999 0.638 Rb
0.322 0.673 0.450 Rb
0.328 0.677 0.050 Rb
0.378 0.619 0.250 Rb
0.622 0.381 0.750 Rb
0.672 0.323 0.950 Rb
0.678 0.327 0.550 Rb
0.989 0.001 0.362 Rb
0.999 0.993 0.860 Rb
0.276 0.726 0.750 Hg
0.724 0.274 0.250 Hg
0.338 0.653 0.878 Bi
0.350 0.661 0.622 Bi
0.650 0.339 0.378 Bi
0.662 0.347 0.122 Bi
```

Largest 10 diffraction maxima, by angle, 10 to 90 degrees two-theta:
- d = 5.719 Å, intensity 243
- d = 5.570 Å, intensity 352
- d = 5.531 Å, intensity 876
- d = 3.343 Å, intensity 741
- d = 3.224 Å, intensity 1000
- d = 2.803 Å, intensity 307
- d = 2.794 Å, intensity 314
- d = 2.778 Å, intensity 177
- d = 2.771 Å, intensity 180
- d = 1.906 Å, intensity 288

***

BaPuSiO5: calculated X-ray diffraction stick pattern (copper Kα), based on a GGA-PBE-relaxed structure.

Atomic structure:
```
BaPuSiO5
1.0
3.610 -4.913 0.000
3.610 4.913 0.000
-2.932 0.000 7.204
Ba Pu Si O
2 2 2 10
direct
0.160 0.840 0.750 Ba
0.840 0.160 0.250 Ba
0.500 0.500 0.000 Pu
0.500 0.500 0.500 Pu
0.186 0.814 0.250 Si
0.814 0.186 0.750 Si
0.090 0.257 0.893 O
0.192 0.624 0.374 O
0.257 0.090 0.393 O
0.376 0.808 0.126 O
0.425 0.575 0.750 O
0.575 0.425 0.250 O
0.624 0.192 0.874 O
0.743 0.910 0.607 O
0.808 0.376 0.626 O
0.910 0.743 0.107 O
```

Largest 10 diffraction maxima, by angle, 10 to 90 degrees two-theta:
- d = 5.529 Å, intensity 632
- d = 3.570 Å, intensity 1000
- d = 3.344 Å, intensity 655
- d = 2.942 Å, intensity 806
- d = 2.905 Å, intensity 533
- d = 2.662 Å, intensity 313
- d = 2.623 Å, intensity 272
- d = 2.266 Å, intensity 268
- d = 1.924 Å, intensity 408
- d = 1.843 Å, intensity 233

***

Y4NiRu2: calculated X-ray diffraction stick pattern (copper Kα), based on a GGA-PBE-relaxed structure.

Atomic structure:
```
Y4NiRu2
1.0
2.403 1.388 7.856
-2.403 1.388 7.856
0.000 -2.775 7.856
Y Ni Ru
4 1 2
direct
0.124 0.124 0.124 Y
0.374 0.374 0.374 Y
0.626 0.626 0.626 Y
0.876 0.876 0.876 Y
0.500 0.500 0.500 Ni
0.248 0.248 0.248 Ru
0.752 0.752 0.752 Ru
```

Largest 10 diffraction maxima, by angle, 10 to 90 degrees two-theta:
- d = 7.856 Å, intensity 37
- d = 4.099 Å, intensity 19
- d = 3.926 Å, intensity 124
- d = 3.400 Å, intensity 27
- d = 2.404 Å, intensity 1000
- d = 2.050 Å, intensity 61
- d = 1.700 Å, intensity 168
- d = 1.560 Å, intensity 25
- d = 1.388 Å, intensity 333
- d = 1.202 Å, intensity 102

***

Cs2Zn2BiO6: calculated X-ray diffraction stick pattern (copper Kα), based on a GGA-PBE-relaxed structure.

Atomic structure:
```
Cs2Zn2BiO6
1.0
5.669 0.000 0.000
-2.834 4.909 0.000
0.000 0.000 6.933
Cs Zn Bi O
2 2 1 6
direct
0.333 0.667 0.499 Cs
0.667 0.333 0.501 Cs
0.333 0.667 0.000 Zn
0.667 0.333 0.000 Zn
0.000 0.000 0.000 Bi
0.000 0.332 0.843 O
0.000 0.668 0.157 O
0.332 0.000 0.843 O
0.332 0.332 0.157 O
0.668 0.000 0.157 O
0.668 0.668 0.843 O
```

Largest 10 diffraction maxima, by angle, 10 to 90 degrees two-theta:
- d = 6.933 Å, intensity 159
- d = 4.007 Å, intensity 863
- d = 3.466 Å, intensity 470
- d = 2.834 Å, intensity 804
- d = 2.314 Å, intensity 206
- d = 2.194 Å, intensity 1000
- d = 1.792 Å, intensity 219
- d = 1.636 Å, intensity 239
- d = 1.479 Å, intensity 529
- d = 1.312 Å, intensity 187

***

What did the fifth record say?
Rb5HgBi2: calculated X-ray diffraction stick pattern (copper Kα), based on a GGA-PBE-relaxed structure.

Atomic structure:
```
Rb5HgBi2
1.0
6.453 0.000 0.000
-2.990 5.719 0.000
-0.263 -0.199 22.355
Rb Hg Bi
10 2 4
direct
0.001 0.007 0.140 Rb
0.011 0.999 0.638 Rb
0.322 0.673 0.450 Rb
0.328 0.677 0.050 Rb
0.378 0.619 0.250 Rb
0.622 0.381 0.750 Rb
0.672 0.323 0.950 Rb
0.678 0.327 0.550 Rb
0.989 0.001 0.362 Rb
0.999 0.993 0.860 Rb
0.276 0.726 0.750 Hg
0.724 0.274 0.250 Hg
0.338 0.653 0.878 Bi
0.350 0.661 0.622 Bi
0.650 0.339 0.378 Bi
0.662 0.347 0.122 Bi
```

Largest 10 diffraction maxima, by angle, 10 to 90 degrees two-theta:
- d = 5.719 Å, intensity 243
- d = 5.570 Å, intensity 352
- d = 5.531 Å, intensity 876
- d = 3.343 Å, intensity 741
- d = 3.224 Å, intensity 1000
- d = 2.803 Å, intensity 307
- d = 2.794 Å, intensity 314
- d = 2.778 Å, intensity 177
- d = 2.771 Å, intensity 180
- d = 1.906 Å, intensity 288

***

Please write out number 4 again, unchanged.
NaTl2SnCl5: calculated X-ray diffraction stick pattern (copper Kα), based on a GGA-PBE-relaxed structure.

Atomic structure:
```
NaTl2SnCl5
1.0
2.246 -9.097 0.000
2.246 9.097 0.000
0.000 0.000 13.878
Na Tl Sn Cl
2 4 2 10
direct
0.220 0.780 0.500 Na
0.780 0.220 0.000 Na
0.111 0.889 0.142 Tl
0.149 0.851 0.768 Tl
0.851 0.149 0.268 Tl
0.889 0.111 0.642 Tl
0.464 0.536 0.929 Sn
0.536 0.464 0.429 Sn
0.068 0.932 0.542 Cl
0.277 0.723 0.138 Cl
0.323 0.677 0.870 Cl
0.371 0.629 0.477 Cl
0.493 0.507 0.244 Cl
0.507 0.493 0.744 Cl
0.629 0.371 0.977 Cl
0.677 0.323 0.370 Cl
0.723 0.277 0.638 Cl
0.932 0.068 0.042 Cl
```

Largest 10 diffraction maxima, by angle, 10 to 90 degrees two-theta:
- d = 4.124 Å, intensity 960
- d = 3.804 Å, intensity 329
- d = 3.693 Å, intensity 1000
- d = 3.610 Å, intensity 589
- d = 3.174 Å, intensity 832
- d = 2.962 Å, intensity 358
- d = 2.776 Å, intensity 311
- d = 2.655 Å, intensity 360
- d = 2.413 Å, intensity 485
- d = 2.247 Å, intensity 408